No. 1
Theoretical XRD peak list of Sc7Bi2SeN2 for Cu Kα (weighted mean of Kα1 and Kα2), from a crystal structure in Alexandria, relaxed with GGA-PBE.
Peak positions follow from Bragg's law for the DFT cell and can differ from measured ones.

Cell and atoms:
```
data_Sc7Bi2SeN2
_chemical_formula_sum 'Sc7 Bi2 Se1 N2'
_symmetry_space_group_name_H-M 'P 1'
_symmetry_Int_Tables_number 1
_symmetry_space_group_name_Hall 'P 1'
_cell_length_a 12.1790
_cell_length_b 12.1790
_cell_length_c 12.1790
_cell_angle_alpha 158.93
_cell_angle_beta 158.93
_cell_angle_gamma 29.96
loop_
_atom_site_label
_atom_site_type_symbol
_atom_site_fract_x
_atom_site_fract_y
_atom_site_fract_z
Sc1 Sc 0.0000 0.0000 0.0000
Sc2 Sc 0.0856 0.5856 0.5000
Sc3 Sc 0.1852 0.1852 0.0000
Sc4 Sc 0.4144 0.9144 0.5000
Sc5 Sc 0.5856 0.0856 0.5000
Sc6 Sc 0.8148 0.8148 0.0000
Sc7 Sc 0.9144 0.4144 0.5000
Bi1 Bi 0.3170 0.3170 0.0000
Bi2 Bi 0.6830 0.6830 0.0000
Se1 Se 0.5000 0.5000 0.0000
N1 N 0.0929 0.0929 0.0000
N2 N 0.9071 0.9071 0.0000
```

Largest 10 diffraction maxima, sorted by position, 2θ from 10° to 90°:
2θ = 22.7°, d 3.922, I 184; 2θ = 23.0°, d 3.872, I 486; 2θ = 27.6°, d 3.234, I 506; 2θ = 28.3°, d 3.148, I 474; 2θ = 29.4°, d 3.041, I 315; 2θ = 36.6°, d 2.455, I 1000; 2θ = 40.5°, d 2.226, I 555; 2θ = 47.1°, d 1.929, I 288; 2θ = 49.7°, d 1.834, I 212; 2θ = 71.1°, d 1.325, I 277

***

No. 2
Theoretical XRD peak list of Pb5S2I6 for Cu Kα (weighted mean of Kα1 and Kα2), from a crystal structure in Alexandria, relaxed with GGA-PBE.
Peak positions follow from Bragg's law for the DFT cell and can differ from measured ones.

Cell and atoms:
```
data_Pb5S2I6
_chemical_formula_sum 'Pb5 S2 I6'
_symmetry_space_group_name_H-M 'P 1'
_symmetry_Int_Tables_number 1
_symmetry_space_group_name_Hall 'P 1'
_cell_length_a 7.8127
_cell_length_b 7.8127
_cell_length_c 15.0170
_cell_angle_alpha 98.36
_cell_angle_beta 98.36
_cell_angle_gamma 33.41
loop_
_atom_site_label
_atom_site_type_symbol
_atom_site_fract_x
_atom_site_fract_y
_atom_site_fract_z
Pb1 Pb 0.0000 0.0000 0.0000
Pb2 Pb 0.1312 0.1312 0.4640
Pb3 Pb 0.2127 0.2127 0.7561
Pb4 Pb 0.7873 0.7873 0.2439
Pb5 Pb 0.8688 0.8688 0.5360
S1 S 0.2803 0.2803 0.5956
S2 S 0.7197 0.7197 0.4044
I1 I 0.1300 0.1300 0.1981
I2 I 0.3730 0.3730 0.0724
I3 I 0.4256 0.4256 0.3624
I4 I 0.5744 0.5744 0.6376
I5 I 0.6270 0.6270 0.9276
I6 I 0.8700 0.8700 0.8019
```

Largest 10 diffraction maxima, sorted by position, 2θ from 10° to 90°:
2θ = 18.2°, d 4.881, I 173; 2θ = 25.2°, d 3.539, I 338; 2θ = 26.9°, d 3.314, I 1000; 2θ = 28.1°, d 3.176, I 455; 2θ = 30.9°, d 2.897, I 185; 2θ = 32.3°, d 2.767, I 169; 2θ = 32.6°, d 2.749, I 212; 2θ = 37.6°, d 2.389, I 169; 2θ = 40.2°, d 2.246, I 366; 2θ = 46.9°, d 1.936, I 160

***

No. 3
Theoretical XRD peak list of La2Dy12Y for Cu Kα (weighted mean of Kα1 and Kα2), from a crystal structure in Alexandria, relaxed with GGA-PBE.
Peak positions follow from Bragg's law for the DFT cell and can differ from measured ones.

Cell and atoms:
```
data_La2Dy12Y
_chemical_formula_sum 'La4 Dy24 Y2'
_symmetry_space_group_name_H-M 'P 1'
_symmetry_Int_Tables_number 1
_symmetry_space_group_name_Hall 'P 1'
_cell_length_a 6.5870
_cell_length_b 6.5884
_cell_length_c 25.0165
_cell_angle_alpha 82.49
_cell_angle_beta 86.55
_cell_angle_gamma 64.33
loop_
_atom_site_label
_atom_site_type_symbol
_atom_site_fract_x
_atom_site_fract_y
_atom_site_fract_z
La1 La 0.0024 0.1306 0.2320
La2 La 0.4978 0.3693 0.7679
La3 La 0.5022 0.6307 0.2321
La4 La 0.9976 0.8694 0.7680
Dy1 Dy 0.0014 0.5964 0.2999
Dy2 Dy 0.0023 0.6636 0.1652
Dy3 Dy 0.2475 0.5524 0.9029
Dy4 Dy 0.2477 0.0234 0.9602
Dy5 Dy 0.2493 0.2149 0.5732
Dy6 Dy 0.2489 0.6864 0.6325
Dy7 Dy 0.2507 0.2850 0.4267
Dy8 Dy 0.2512 0.8138 0.3671
Dy9 Dy 0.2522 0.4767 0.0399
Dy10 Dy 0.2525 0.9475 0.0973
Dy11 Dy 0.4972 0.8361 0.8348
Dy12 Dy 0.4981 0.9031 0.7002
Dy13 Dy 0.5019 0.0969 0.2998
Dy14 Dy 0.5028 0.1639 0.1652
Dy15 Dy 0.7475 0.0525 0.9027
Dy16 Dy 0.7478 0.5233 0.9601
Dy17 Dy 0.7488 0.1862 0.6329
Dy18 Dy 0.7493 0.7150 0.5733
Dy19 Dy 0.7511 0.3136 0.3675
Dy20 Dy 0.7507 0.7851 0.4268
Dy21 Dy 0.7523 0.9766 0.0398
Dy22 Dy 0.7525 0.4476 0.0971
Dy23 Dy 0.9977 0.3364 0.8348
Dy24 Dy 0.9986 0.4036 0.7001
Y1 Y 0.2497 0.7499 0.4998
Y2 Y 0.7503 0.2501 0.5002
```

Largest 10 diffraction maxima, sorted by position, 2θ from 10° to 90°:
2θ = 31.0°, d 2.887, I 721; 2θ = 31.5°, d 2.844, I 1000; 2θ = 32.1°, d 2.788, I 488; 2θ = 32.3°, d 2.774, I 181; 2θ = 32.4°, d 2.763, I 182; 2θ = 46.2°, d 1.965, I 200; 2θ = 56.8°, d 1.620, I 187; 2θ = 62.1°, d 1.495, I 143; 2θ = 62.3°, d 1.490, I 151; 2θ = 62.6°, d 1.484, I 144

***

No. 4
Theoretical XRD peak list of Dy6Ag5Sn for Cu Kα (weighted mean of Kα1 and Kα2), from a crystal structure in Alexandria, relaxed with GGA-PBE.
Peak positions follow from Bragg's law for the DFT cell and can differ from measured ones.

Cell and atoms:
```
data_Dy6Ag5Sn
_chemical_formula_sum 'Dy6 Ag5 Sn1'
_symmetry_space_group_name_H-M 'P 1'
_symmetry_Int_Tables_number 1
_symmetry_space_group_name_Hall 'P 1'
_cell_length_a 5.1690
_cell_length_b 7.3322
_cell_length_c 8.1889
_cell_angle_alpha 90.00
_cell_angle_beta 108.33
_cell_angle_gamma 90.00
loop_
_atom_site_label
_atom_site_type_symbol
_atom_site_fract_x
_atom_site_fract_y
_atom_site_fract_z
Dy1 Dy 0.0000 0.2448 0.0000
Dy2 Dy 0.0000 0.7552 0.0000
Dy3 Dy 0.3310 0.2458 0.6621
Dy4 Dy 0.3310 0.7542 0.6621
Dy5 Dy 0.6690 0.2458 0.3379
Dy6 Dy 0.6690 0.7542 0.3379
Ag1 Ag 0.1657 0.0000 0.3316
Ag2 Ag 0.1678 0.5000 0.3354
Ag3 Ag 0.5000 0.0000 0.0000
Ag4 Ag 0.8322 0.5000 0.6646
Ag5 Ag 0.8343 0.0000 0.6684
Sn1 Sn 0.5000 0.5000 0.0000
```

Largest 10 diffraction maxima, sorted by position, 2θ from 10° to 90°:
2θ = 24.3°, d 3.662, I 33; 2θ = 34.6°, d 2.589, I 1000; 2θ = 49.8°, d 1.832, I 118; 2θ = 49.9°, d 1.829, I 59; 2θ = 62.0°, d 1.496, I 240; 2θ = 62.2°, d 1.493, I 120; 2θ = 73.1°, d 1.295, I 92; 2θ = 73.2°, d 1.292, I 19; 2θ = 83.4°, d 1.159, I 92; 2θ = 83.6°, d 1.157, I 53

***

No. 5
Theoretical XRD peak list of NaCaMg2Hg4 for Cu Kα (weighted mean of Kα1 and Kα2), from a crystal structure in Alexandria, relaxed with GGA-PBE.
Peak positions follow from Bragg's law for the DFT cell and can differ from measured ones.

Cell and atoms:
```
data_NaCaMg2Hg4
_chemical_formula_sum 'Na1 Ca1 Mg2 Hg4'
_symmetry_space_group_name_H-M 'P 1'
_symmetry_Int_Tables_number 1
_symmetry_space_group_name_Hall 'P 1'
_cell_length_a 8.9167
_cell_length_b 8.9167
_cell_length_c 8.9167
_cell_angle_alpha 33.24
_cell_angle_beta 33.24
_cell_angle_gamma 33.24
loop_
_atom_site_label
_atom_site_type_symbol
_atom_site_fract_x
_atom_site_fract_y
_atom_site_fract_z
Na1 Na 0.0000 0.0000 0.0000
Ca1 Ca 0.5000 0.5000 0.5000
Mg1 Mg 0.2511 0.2511 0.2511
Mg2 Mg 0.7489 0.7489 0.7489
Hg1 Hg 0.1217 0.1217 0.1217
Hg2 Hg 0.3732 0.3732 0.3732
Hg3 Hg 0.6268 0.6268 0.6268
Hg4 Hg 0.8783 0.8783 0.8783
```

Largest 10 diffraction maxima, sorted by position, 2θ from 10° to 90°:
2θ = 24.6°, d 3.619, I 1000; 2θ = 34.9°, d 2.568, I 753; 2θ = 35.2°, d 2.550, I 750; 2θ = 43.4°, d 2.085, I 234; 2θ = 50.4°, d 1.809, I 268; 2θ = 56.7°, d 1.623, I 209; 2θ = 57.1°, d 1.614, I 214; 2θ = 62.5°, d 1.486, I 134; 2θ = 63.0°, d 1.476, I 275; 2θ = 63.2°, d 1.472, I 139

***

No. 6
Theoretical XRD peak list of Zr3TlCd for Cu Kα (weighted mean of Kα1 and Kα2), from a crystal structure in Alexandria, relaxed with GGA-PBE.
Peak positions follow from Bragg's law for the DFT cell and can differ from measured ones.

Cell and atoms:
```
data_Zr3TlCd
_chemical_formula_sum 'Zr6 Tl2 Cd2'
_symmetry_space_group_name_H-M 'P 1'
_symmetry_Int_Tables_number 1
_symmetry_space_group_name_Hall 'P 1'
_cell_length_a 8.3381
_cell_length_b 8.3381
_cell_length_c 5.4880
_cell_angle_alpha 90.00
_cell_angle_beta 90.00
_cell_angle_gamma 139.88
loop_
_atom_site_label
_atom_site_type_symbol
_atom_site_fract_x
_atom_site_fract_y
_atom_site_fract_z
Zr1 Zr 0.0000 0.0000 0.0000
Zr2 Zr 0.0000 0.0000 0.5000
Zr3 Zr 0.0918 0.4009 0.2500
Zr4 Zr 0.4009 0.0918 0.7500
Zr5 Zr 0.5991 0.9082 0.2500
Zr6 Zr 0.9082 0.5991 0.7500
Tl1 Tl 0.1742 0.8258 0.2500
Tl2 Tl 0.8258 0.1742 0.7500
Cd1 Cd 0.4523 0.5477 0.7500
Cd2 Cd 0.5477 0.4523 0.2500
```

Largest 10 diffraction maxima, sorted by position, 2θ from 10° to 90°:
2θ = 23.1°, d 3.856, I 338; 2θ = 23.2°, d 3.839, I 405; 2θ = 32.6°, d 2.745, I 593; 2θ = 34.3°, d 2.611, I 353; 2θ = 36.6°, d 2.457, I 427; 2θ = 37.3°, d 2.413, I 1000; 2θ = 40.3°, d 2.236, I 670; 2θ = 59.7°, d 1.550, I 232; 2θ = 61.3°, d 1.512, I 230; 2θ = 61.9°, d 1.499, I 214

***

No. 7
Theoretical XRD peak list of Ca2PrErAu4 for Cu Kα (weighted mean of Kα1 and Kα2), from a crystal structure in Alexandria, relaxed with GGA-PBE.
Peak positions follow from Bragg's law for the DFT cell and can differ from measured ones.

Cell and atoms:
```
data_Ca2PrErAu4
_chemical_formula_sum 'Ca2 Pr1 Er1 Au4'
_symmetry_space_group_name_H-M 'P 1'
_symmetry_Int_Tables_number 1
_symmetry_space_group_name_Hall 'P 1'
_cell_length_a 8.9355
_cell_length_b 8.9355
_cell_length_c 8.9355
_cell_angle_alpha 33.40
_cell_angle_beta 33.40
_cell_angle_gamma 33.40
loop_
_atom_site_label
_atom_site_type_symbol
_atom_site_fract_x
_atom_site_fract_y
_atom_site_fract_z
Ca1 Ca 0.2491 0.2491 0.2491
Ca2 Ca 0.7509 0.7509 0.7509
Pr1 Pr 0.0000 0.0000 0.0000
Er1 Er 0.5000 0.5000 0.5000
Au1 Au 0.1278 0.1278 0.1278
Au2 Au 0.3801 0.3801 0.3801
Au3 Au 0.6199 0.6199 0.6199
Au4 Au 0.8722 0.8722 0.8722
```

Largest 10 diffraction maxima, sorted by position, 2θ from 10° to 90°:
2θ = 21.2°, d 4.199, I 163; 2θ = 24.5°, d 3.637, I 265; 2θ = 34.8°, d 2.576, I 981; 2θ = 34.9°, d 2.568, I 1000; 2θ = 50.2°, d 1.819, I 350; 2θ = 62.4°, d 1.489, I 167; 2θ = 62.6°, d 1.484, I 546; 2θ = 73.8°, d 1.284, I 115; 2θ = 84.1°, d 1.151, I 149; 2θ = 84.3°, d 1.149, I 162

***

No. 8
Theoretical XRD peak list of AcZnGe2Ru for Cu Kα (weighted mean of Kα1 and Kα2), from a crystal structure in Alexandria, relaxed with GGA-PBE.
Peak positions follow from Bragg's law for the DFT cell and can differ from measured ones.

Cell and atoms:
```
data_AcZnGe2Ru
_chemical_formula_sum 'Ac2 Zn2 Ge4 Ru2'
_symmetry_space_group_name_H-M 'P 1'
_symmetry_Int_Tables_number 1
_symmetry_space_group_name_Hall 'P 1'
_cell_length_a 5.9499
_cell_length_b 5.9216
_cell_length_c 5.9634
_cell_angle_alpha 90.00
_cell_angle_beta 90.00
_cell_angle_gamma 90.00
loop_
_atom_site_label
_atom_site_type_symbol
_atom_site_fract_x
_atom_site_fract_y
_atom_site_fract_z
Ac1 Ac 0.2500 0.0000 0.2281
Ac2 Ac 0.7500 0.0000 0.7719
Zn1 Zn 0.2500 0.5000 0.3719
Zn2 Zn 0.7500 0.5000 0.6281
Ge1 Ge 0.2500 0.2611 0.7448
Ge2 Ge 0.2500 0.7389 0.7448
Ge3 Ge 0.7500 0.2611 0.2552
Ge4 Ge 0.7500 0.7389 0.2552
Ru1 Ru 0.0000 0.5000 0.0000
Ru2 Ru 0.5000 0.5000 0.0000
```

Largest 10 diffraction maxima, sorted by position, 2θ from 10° to 90°:
2θ = 26.0°, d 3.432, I 444; 2θ = 30.0°, d 2.977, I 458; 2θ = 33.7°, d 2.661, I 612; 2θ = 37.0°, d 2.429, I 290; 2θ = 37.1°, d 2.422, I 1000; 2θ = 42.9°, d 2.106, I 415; 2θ = 50.9°, d 1.796, I 233; 2θ = 55.9°, d 1.645, I 176; 2θ = 58.0°, d 1.590, I 175; 2θ = 58.1°, d 1.588, I 300

***

No. 9
Theoretical XRD peak list of Li3Ca for Cu Kα (weighted mean of Kα1 and Kα2), from a crystal structure in Alexandria, relaxed with GGA-PBE.
Peak positions follow from Bragg's law for the DFT cell and can differ from measured ones.

Cell and atoms:
```
data_Li3Ca
_chemical_formula_sum 'Li3 Ca1'
_symmetry_space_group_name_H-M 'P 1'
_symmetry_Int_Tables_number 1
_symmetry_space_group_name_Hall 'P 1'
_cell_length_a 3.5676
_cell_length_b 3.5676
_cell_length_c 10.0194
_cell_angle_alpha 90.00
_cell_angle_beta 90.00
_cell_angle_gamma 120.00
loop_
_atom_site_label
_atom_site_type_symbol
_atom_site_fract_x
_atom_site_fract_y
_atom_site_fract_z
Li1 Li 0.0000 0.0000 0.0000
Li2 Li 0.6667 0.3333 0.2222
Li3 Li 0.6667 0.3333 0.7778
Ca1 Ca 0.0000 0.0000 0.5000
```

Largest 10 diffraction maxima, sorted by position, 2θ from 10° to 90°:
2θ = 17.7°, d 5.010, I 473; 2θ = 26.7°, d 3.340, I 211; 2θ = 28.9°, d 3.090, I 533; 2θ = 30.3°, d 2.952, I 729; 2θ = 34.1°, d 2.630, I 1000; 2θ = 35.8°, d 2.505, I 157; 2θ = 39.7°, d 2.268, I 274; 2θ = 46.7°, d 1.946, I 265; 2θ = 51.2°, d 1.784, I 173; 2θ = 54.6°, d 1.681, I 256

***

No. 10
Theoretical XRD peak list of Y3Er2Sc5 for Cu Kα (weighted mean of Kα1 and Kα2), from a crystal structure in Alexandria, relaxed with GGA-PBE.
Peak positions follow from Bragg's law for the DFT cell and can differ from measured ones.

Cell and atoms:
```
data_Y3Er2Sc5
_chemical_formula_sum 'Y6 Er4 Sc10'
_symmetry_space_group_name_H-M 'P 1'
_symmetry_Int_Tables_number 1
_symmetry_space_group_name_Hall 'P 1'
_cell_length_a 8.9955
_cell_length_b 9.0036
_cell_length_c 9.0043
_cell_angle_alpha 115.22
_cell_angle_beta 106.54
_cell_angle_gamma 106.73
loop_
_atom_site_label
_atom_site_type_symbol
_atom_site_fract_x
_atom_site_fract_y
_atom_site_fract_z
Y1 Y 0.1536 0.1767 0.2319
Y2 Y 0.2542 0.1235 0.8688
Y3 Y 0.2535 0.6327 0.3829
Y4 Y 0.7465 0.3673 0.6171
Y5 Y 0.7458 0.8765 0.1312
Y6 Y 0.8464 0.8233 0.7681
Er1 Er 0.0536 0.7258 0.0760
Er2 Er 0.4456 0.5228 0.6827
Er3 Er 0.5544 0.4772 0.3173
Er4 Er 0.9464 0.2742 0.9240
Sc1 Sc 0.0471 0.2239 0.5756
Sc2 Sc 0.1526 0.6733 0.7256
Sc3 Sc 0.3475 0.5756 0.0239
Sc4 Sc 0.3515 0.0736 0.5269
Sc5 Sc 0.4503 0.0199 0.1719
Sc6 Sc 0.5497 0.9801 0.8281
Sc7 Sc 0.6485 0.9264 0.4731
Sc8 Sc 0.6525 0.4244 0.9761
Sc9 Sc 0.8474 0.3267 0.2744
Sc10 Sc 0.9529 0.7761 0.4244
```

Largest 10 diffraction maxima, sorted by position, 2θ from 10° to 90°:
2θ = 12.3°, d 7.176, I 158; 2θ = 20.6°, d 4.302, I 152; 2θ = 32.2°, d 2.779, I 1000; 2θ = 37.3°, d 2.409, I 328; 2θ = 37.4°, d 2.403, I 167; 2θ = 53.8°, d 1.704, I 113; 2θ = 53.9°, d 1.702, I 171; 2θ = 64.0°, d 1.454, I 97; 2θ = 64.2°, d 1.451, I 157; 2θ = 64.3°, d 1.449, I 124

***

No. 11
Theoretical XRD peak list of Tl2In14Hg9 for Cu Kα (weighted mean of Kα1 and Kα2), from a crystal structure in Alexandria, relaxed with GGA-PBE.
Peak positions follow from Bragg's law for the DFT cell and can differ from measured ones.

Cell and atoms:
```
data_Tl2In14Hg9
_chemical_formula_sum 'Tl2 In14 Hg9'
_symmetry_space_group_name_H-M 'P 1'
_symmetry_Int_Tables_number 1
_symmetry_space_group_name_Hall 'P 1'
_cell_length_a 6.4131
_cell_length_b 8.5946
_cell_length_c 13.4787
_cell_angle_alpha 97.27
_cell_angle_beta 95.92
_cell_angle_gamma 110.06
loop_
_atom_site_label
_atom_site_type_symbol
_atom_site_fract_x
_atom_site_fract_y
_atom_site_fract_z
Tl1 Tl 0.1092 0.1094 0.2340
Tl2 Tl 0.8908 0.8906 0.7660
In1 In 0.1178 0.5207 0.3979
In2 In 0.2478 0.1822 0.5239
In3 In 0.2551 0.5082 0.1783
In4 In 0.2724 0.0894 0.0082
In5 In 0.2831 0.6855 0.8394
In6 In 0.4444 0.5772 0.6227
In7 In 0.4861 0.0867 0.8155
In8 In 0.5139 0.9133 0.1845
In9 In 0.5556 0.4228 0.3773
In10 In 0.7169 0.3145 0.1606
In11 In 0.7276 0.9106 0.9918
In12 In 0.7449 0.4918 0.8217
In13 In 0.7522 0.8178 0.4761
In14 In 0.8822 0.4793 0.6021
Hg1 Hg 0.0500 0.7092 0.0436
Hg2 Hg 0.1903 0.2950 0.7543
Hg3 Hg 0.2168 0.8429 0.6041
Hg4 Hg 0.2969 0.8867 0.3758
Hg5 Hg 0.5000 0.5000 0.0000
Hg6 Hg 0.7031 0.1133 0.6242
Hg7 Hg 0.7832 0.1571 0.3959
Hg8 Hg 0.8097 0.7050 0.2457
Hg9 Hg 0.9500 0.2908 0.9564
```

Largest 10 diffraction maxima, sorted by position, 2θ from 10° to 90°:
2θ = 30.7°, d 2.914, I 803; 2θ = 31.3°, d 2.862, I 361; 2θ = 31.6°, d 2.832, I 745; 2θ = 32.4°, d 2.766, I 874; 2θ = 33.0°, d 2.713, I 604; 2θ = 33.3°, d 2.688, I 1000; 2θ = 33.9°, d 2.641, I 439; 2θ = 37.2°, d 2.416, I 426; 2θ = 37.5°, d 2.400, I 276; 2θ = 37.9°, d 2.377, I 394

***

No. 12
Theoretical XRD peak list of Ac8Dy2Y for Cu Kα (weighted mean of Kα1 and Kα2), from a crystal structure in Alexandria, relaxed with GGA-PBE.
Peak positions follow from Bragg's law for the DFT cell and can differ from measured ones.

Cell and atoms:
```
data_Ac8Dy2Y
_chemical_formula_sum 'Ac8 Dy2 Y1'
_symmetry_space_group_name_H-M 'P 1'
_symmetry_Int_Tables_number 1
_symmetry_space_group_name_Hall 'P 1'
_cell_length_a 10.0345
_cell_length_b 10.0345
_cell_length_c 10.0345
_cell_angle_alpha 146.19
_cell_angle_beta 123.04
_cell_angle_gamma 67.90
loop_
_atom_site_label
_atom_site_type_symbol
_atom_site_fract_x
_atom_site_fract_y
_atom_site_fract_z
Ac1 Ac 0.1363 0.3463 0.7900
Ac2 Ac 0.1496 0.1496 0.0000
Ac3 Ac 0.3063 0.0000 0.3063
Ac4 Ac 0.4437 0.6537 0.7900
Ac5 Ac 0.5563 0.3463 0.2100
Ac6 Ac 0.6937 0.0000 0.6937
Ac7 Ac 0.8504 0.8504 0.0000
Ac8 Ac 0.8637 0.6537 0.2100
Dy1 Dy 0.2969 0.7969 0.5000
Dy2 Dy 0.7031 0.2031 0.5000
Y1 Y 0.0000 0.5000 0.5000
```

Largest 10 diffraction maxima, sorted by position, 2θ from 10° to 90°:
2θ = 27.9°, d 3.194, I 258; 2θ = 28.5°, d 3.133, I 150; 2θ = 29.0°, d 3.079, I 1000; 2θ = 30.6°, d 2.918, I 303; 2θ = 32.3°, d 2.775, I 167; 2θ = 42.3°, d 2.136, I 125; 2θ = 45.1°, d 2.011, I 142; 2θ = 53.5°, d 1.714, I 188; 2θ = 55.1°, d 1.666, I 138; 2θ = 57.8°, d 1.596, I 149